1.
For Lu3Ni7B2, a DFT-relaxed cell (GGA-PBE, Alexandria) gives the calculated powder X-ray diffraction pattern in this record (Cu Kα (weighted mean of Kα1 and Kα2)).
Intensities are scaled so that the largest is 1000.

Principal peaks in the range 2θ = 5–70°, by intensity:
2θ/deg, d/Å, Rel. int.
37.8, 2.381, 1000
44.2, 2.048, 867
42.2, 2.144, 632
35.9, 2.504, 484
65.7, 1.421, 397
41.6, 2.169, 216
32.5, 2.752, 207
21.4, 4.149, 200
38.1, 2.362, 198
20.5, 4.337, 126
62.5, 1.487, 102
64.4, 1.446, 90

Lattice parameters (Å, degrees): 5.008 5.008 14.244 90.00 90.00 120.00
Sites, in units of the cell vectors:
Lu (0.333, 0.667, 0.033)
Lu (0.333, 0.667, 0.250)
Lu (0.333, 0.667, 0.467)
Lu (0.667, 0.333, 0.533)
Lu (0.667, 0.333, 0.750)
Lu (0.667, 0.333, 0.967)
Ni (0.000, 0.000, 0.000)
Ni (0.000, 0.000, 0.500)
Ni (0.166, 0.332, 0.648)
Ni (0.166, 0.332, 0.852)
Ni (0.166, 0.834, 0.648)
Ni (0.166, 0.834, 0.852)
Ni (0.332, 0.166, 0.148)
Ni (0.332, 0.166, 0.352)
Ni (0.668, 0.834, 0.648)
Ni (0.668, 0.834, 0.852)
Ni (0.834, 0.166, 0.148)
Ni (0.834, 0.166, 0.352)
Ni (0.834, 0.668, 0.148)
Ni (0.834, 0.668, 0.352)
B (0.000, 0.000, 0.250)
B (0.000, 0.000, 0.750)
B (0.333, 0.667, 0.750)
B (0.667, 0.333, 0.250)

2.
For Lu4B6O15, a DFT-relaxed cell (GGA-PBE, Alexandria) gives the calculated powder X-ray diffraction pattern in this record (Cu Kα (weighted mean of Kα1 and Kα2)).
Intensities are scaled so that the largest is 1000.

Principal peaks in the range 2θ = 5–70°, by intensity:
2θ/deg, d/Å, Rel. int.
13.3, 6.681, 1000
15.0, 5.890, 680
30.8, 2.906, 425
24.1, 3.685, 374
33.2, 2.695, 347
35.6, 2.525, 294
20.1, 4.418, 264
54.2, 1.693, 216
40.8, 2.209, 181
33.6, 2.665, 181
38.5, 2.341, 158
36.3, 2.475, 150

Lattice parameters (Å, degrees): 8.044 8.044 8.044 112.30 112.30 112.30
Sites, in units of the cell vectors:
Lu (0.000, 0.000, 0.000)
Lu (0.189, 0.886, 0.714)
Lu (0.714, 0.189, 0.886)
Lu (0.886, 0.714, 0.189)
B (0.147, 0.488, 0.388)
B (0.388, 0.147, 0.488)
B (0.488, 0.388, 0.147)
B (0.495, 0.725, 0.798)
B (0.725, 0.798, 0.495)
B (0.798, 0.495, 0.725)
O (0.011, 0.281, 0.178)
O (0.104, 0.640, 0.399)
O (0.178, 0.011, 0.281)
O (0.281, 0.178, 0.011)
O (0.312, 0.525, 0.577)
O (0.399, 0.104, 0.640)
O (0.491, 0.909, 0.873)
O (0.525, 0.577, 0.312)
O (0.577, 0.312, 0.525)
O (0.640, 0.399, 0.104)
O (0.682, 0.746, 0.940)
O (0.746, 0.940, 0.682)
O (0.873, 0.491, 0.909)
O (0.909, 0.873, 0.491)
O (0.940, 0.682, 0.746)

3.
For Lu4B6O15, a DFT-relaxed cell (GGA-PBE, Alexandria) gives the calculated powder X-ray diffraction pattern in this record (Cu Kα (weighted mean of Kα1 and Kα2)).
Intensities are scaled so that the largest is 1000.

Principal peaks in the range 2θ = 5–70°, by intensity:
2θ/deg, d/Å, Rel. int.
31.1, 2.877, 1000
22.5, 3.955, 580
33.3, 2.692, 494
32.0, 2.795, 477
23.4, 3.807, 342
9.6, 9.252, 304
26.0, 3.430, 263
31.4, 2.847, 222
41.4, 2.183, 216
49.0, 1.858, 204
52.6, 1.739, 197
49.5, 1.841, 173

Lattice parameters (Å, degrees): 6.177 6.177 18.610 95.71 95.71 41.40
Sites, in units of the cell vectors:
Lu (0.059, 0.669, 0.900)
Lu (0.068, 0.658, 0.698)
Lu (0.331, 0.941, 0.600)
Lu (0.342, 0.932, 0.802)
Lu (0.658, 0.068, 0.198)
Lu (0.669, 0.059, 0.400)
Lu (0.932, 0.342, 0.302)
Lu (0.941, 0.331, 0.100)
B (0.021, 0.642, 0.525)
B (0.199, 0.610, 0.087)
B (0.204, 0.657, 0.306)
B (0.343, 0.796, 0.194)
B (0.358, 0.979, 0.975)
B (0.390, 0.801, 0.413)
B (0.610, 0.199, 0.587)
B (0.642, 0.021, 0.025)
B (0.657, 0.204, 0.806)
B (0.796, 0.343, 0.694)
B (0.801, 0.390, 0.913)
B (0.979, 0.358, 0.475)
O (0.002, 0.250, 0.981)
O (0.053, 0.317, 0.704)
O (0.071, 0.568, 0.139)
O (0.093, 0.491, 0.450)
O (0.131, 0.869, 0.250)
O (0.158, 0.808, 0.379)
O (0.192, 0.842, 0.121)
O (0.250, 0.002, 0.481)
O (0.285, 0.547, 0.572)
O (0.317, 0.053, 0.204)
O (0.330, 0.534, 0.803)
O (0.432, 0.929, 0.361)
O (0.453, 0.715, 0.928)
O (0.466, 0.670, 0.697)
O (0.491, 0.093, 0.950)
O (0.509, 0.907, 0.050)
O (0.534, 0.330, 0.303)
O (0.547, 0.285, 0.072)
O (0.568, 0.071, 0.639)
O (0.670, 0.466, 0.197)
O (0.683, 0.947, 0.796)
O (0.715, 0.453, 0.428)
O (0.750, 0.998, 0.519)
O (0.808, 0.158, 0.879)
O (0.842, 0.192, 0.621)
O (0.869, 0.131, 0.750)
O (0.907, 0.509, 0.550)
O (0.929, 0.432, 0.861)
O (0.947, 0.683, 0.296)
O (0.998, 0.750, 0.019)

4.
For LuB4Rh, a DFT-relaxed cell (GGA-PBE, Alexandria) gives the calculated powder X-ray diffraction pattern in this record (Cu Kα (weighted mean of Kα1 and Kα2)).
Intensities are scaled so that the largest is 1000.

Principal peaks in the range 2θ = 5–70°, by intensity:
2θ/deg, d/Å, Rel. int.
40.6, 2.223, 1000
31.2, 2.864, 841
25.3, 3.525, 744
46.6, 1.948, 263
61.8, 1.501, 245
43.5, 2.081, 217
38.5, 2.338, 189
37.9, 2.373, 181
51.9, 1.763, 167
34.8, 2.578, 162
27.8, 3.208, 159
57.2, 1.611, 117

Lattice parameters (Å, degrees): 5.913 11.459 3.525 90.00 90.00 90.00
Sites, in units of the cell vectors:
Lu (0.132, 0.149, 0.000)
Lu (0.368, 0.649, 0.000)
Lu (0.632, 0.351, 0.000)
Lu (0.868, 0.851, 0.000)
B (0.021, 0.694, 0.500)
B (0.113, 0.548, 0.500)
B (0.135, 0.970, 0.500)
B (0.207, 0.812, 0.500)
B (0.293, 0.312, 0.500)
B (0.365, 0.470, 0.500)
B (0.387, 0.048, 0.500)
B (0.479, 0.194, 0.500)
B (0.521, 0.806, 0.500)
B (0.613, 0.952, 0.500)
B (0.635, 0.530, 0.500)
B (0.707, 0.688, 0.500)
B (0.793, 0.188, 0.500)
B (0.865, 0.030, 0.500)
B (0.887, 0.452, 0.500)
B (0.979, 0.306, 0.500)
Rh (0.143, 0.405, 0.000)
Rh (0.357, 0.905, 0.000)
Rh (0.643, 0.095, 0.000)
Rh (0.857, 0.595, 0.000)